The following is a calculated powder X-ray diffraction pattern of Y2Ho2CBr3Cl2. It was derived from DFT lattice parameters and positions (PBE), using copper Kα.

Largest 6 diffraction maxima, by angle, 2θ from 10° to 90°:
2θ = 11.15°, I 53.1, hkl 0 0 1; 2θ = 21.67°, I 33.2, hkl 4 0 -1; 2θ = 29.31°, I 25.9, hkl 3 1 -1; 2θ = 32.07°, I 78.9, hkl 6 0 0; 2θ = 32.29°, I 100.0, hkl 1 1 -2; 2θ = 46.38°, I 25.3, hkl 7 1 -2

Crystal structure
Cell lengths 17.167, 3.784, 8.147 Å; angles 90.00, 103.04, 90.00 degrees
Space group C2/m (No. 12)
Inequivalent atoms, fractional coordinates:
Y  0.002  0.000  0.299 [4 per cell]
Ho  0.142  0.500  0.571 [4 per cell]
C  0.000  0.500  0.500 [2 per cell]
Br  0.000  0.500  0.000 [2 per cell]
Br  0.169  0.000  0.836 [4 per cell]
Cl  0.172  0.000  0.349 [4 per cell]

***

The following is a calculated powder X-ray diffraction pattern of Tb5Sn4. It was derived from DFT lattice parameters and positions (PBE), using copper Kα.

Largest 6 diffraction maxima, by angle, 2θ from 10° to 90°:
2θ = 29.96°, I 100.0, hkl 1 3 2; 2θ = 30.15°, I 55.7, hkl 2 3 1; 2θ = 31.79°, I 40.0, hkl 0 4 2; 2θ = 33.89°, I 53.2, hkl 2 4 1; 2θ = 34.71°, I 31.3, hkl 0 6 0; 2θ = 35.16°, I 99.4, hkl 3 0 1

Crystal structure
Cell lengths 8.066, 15.506, 8.190 Å; angles 90.00, 90.00, 90.00 degrees
Space group Pnma (No. 62)
Inequivalent atoms, fractional coordinates:
Tb  0.021  0.098  0.179 [8 per cell]
Tb  0.132  0.622  0.338 [8 per cell]
Tb  0.199  0.250  0.503 [4 per cell]
Sn  0.065  0.250  0.883 [4 per cell]
Sn  0.170  0.750  0.647 [4 per cell]
Sn  0.208  0.042  0.536 [8 per cell]

***

The following is a calculated powder X-ray diffraction pattern of GdAgSnSeS2. It was derived from DFT lattice parameters and positions (PBE), using copper Kα.

Largest 6 diffraction maxima, by angle, 2θ from 10° to 90°:
2θ = 13.20°, I 41.3, hkl 0 2 0; 2θ = 28.68°, I 27.3, hkl 1 1 2; 2θ = 31.16°, I 61.2, hkl 1 3 1; 2θ = 33.60°, I 41.8, hkl 0 0 4; 2θ = 34.46°, I 100.0, hkl 1 3 2; 2θ = 45.37°, I 22.8, hkl 2 0 0

Crystal structure
Cell lengths 3.998, 13.415, 10.671 Å; angles 90.00, 90.00, 90.00 degrees
Space group Cmcm (No. 63)
Inequivalent atoms, fractional coordinates:
Gd  0.000  0.000  0.000 [4 per cell]
Ag  0.000  0.471  0.250 [4 per cell]
Sn  0.000  0.231  0.750 [4 per cell]
Se  0.000  0.104  0.250 [4 per cell]
S  0.000  0.362  0.060 [8 per cell]

***

The following is a calculated powder X-ray diffraction pattern of Sc2NbFe. It was derived from DFT lattice parameters and positions (PBE), using copper Kα.

Largest 6 diffraction maxima, by angle, 2θ from 10° to 90°:
2θ = 23.66°, I 11.7, hkl 1 1 1; 2θ = 39.12°, I 100.0, hkl 2 2 0; 2θ = 46.23°, I 6.1, hkl 3 1 1; 2θ = 56.52°, I 15.9, hkl 4 0 0; 2θ = 70.89°, I 30.7, hkl 4 2 2; 2θ = 84.07°, I 9.5, hkl 4 4 0

Crystal structure
Cell lengths 6.513, 6.513, 6.513 Å; angles 90.00, 90.00, 90.00 degrees
Space group F-43m (No. 216)
Inequivalent atoms, fractional coordinates:
Sc  0.000  0.000  0.000 [4 per cell]
Sc  0.250  0.250  0.250 [4 per cell]
Nb  0.000  0.000  0.500 [4 per cell]
Fe  0.250  0.250  0.750 [4 per cell]

***

The following is a calculated powder X-ray diffraction pattern of HfBi3. It was derived from DFT lattice parameters and positions (PBE), using copper Kα.

Largest 6 diffraction maxima, by angle, 2θ from 10° to 90°:
2θ = 29.80°, I 47.8, hkl 2 1 1; 2θ = 30.89°, I 100.0, hkl 0 1 3; 2θ = 31.16°, I 63.6, hkl 3 0 2; 2θ = 32.28°, I 51.5, hkl 1 1 3; 2θ = 36.45°, I 69.4, hkl 3 1 1; 2θ = 45.24°, I 33.4, hkl 0 2 0

Crystal structure
Cell lengths 9.683, 4.008, 12.558 Å; angles 90.00, 90.00, 90.00 degrees
Space group Pnma (No. 62)
Inequivalent atoms, fractional coordinates:
Hf  0.112  0.250  0.036 [4 per cell]
Bi  0.031  0.750  0.203 [4 per cell]
Bi  0.085  0.750  0.571 [4 per cell]
Bi  0.223  0.750  0.873 [4 per cell]

***

The following is a calculated powder X-ray diffraction pattern of SmDyAl2Br2. It was derived from DFT lattice parameters and positions (PBE), using copper Kα.

Largest 6 diffraction maxima, by angle, 2θ from 10° to 90°:
2θ = 15.66°, I 36.9, hkl 0 0 2; 2θ = 24.25°, I 29.8, hkl 1 0 0; 2θ = 25.52°, I 43.9, hkl 1 0 1; 2θ = 29.00°, I 59.2, hkl 1 0 2; 2θ = 34.08°, I 100.0, hkl 1 0 3; 2θ = 42.67°, I 47.0, hkl 1 1 0

Crystal structure
Cell lengths 4.2377, 4.2377, 11.3181 Å; angles 90.00, 90.00, 120.00 degrees
Space group P3m1 (No. 156)
Inequivalent atoms, fractional coordinates:
Sm  0.0000  0.0000  0.0000 [1 per cell]
Dy  0.0000  0.0000  0.3707 [1 per cell]
Al  0.3333  0.6667  0.2073 [1 per cell]
Al  0.6667  0.3333  0.1693 [1 per cell]
Br  0.3333  0.6667  0.8433 [1 per cell]
Br  0.6667  0.3333  0.5216 [1 per cell]

***

Please write out number 6 again, unchanged.
The following is a calculated powder X-ray diffraction pattern of SmDyAl2Br2. It was derived from DFT lattice parameters and positions (PBE), using copper Kα.

Largest 6 diffraction maxima, by angle, 2θ from 10° to 90°:
2θ = 15.66°, I 36.9, hkl 0 0 2; 2θ = 24.25°, I 29.8, hkl 1 0 0; 2θ = 25.52°, I 43.9, hkl 1 0 1; 2θ = 29.00°, I 59.2, hkl 1 0 2; 2θ = 34.08°, I 100.0, hkl 1 0 3; 2θ = 42.67°, I 47.0, hkl 1 1 0

Crystal structure
Cell lengths 4.2377, 4.2377, 11.3181 Å; angles 90.00, 90.00, 120.00 degrees
Space group P3m1 (No. 156)
Inequivalent atoms, fractional coordinates:
Sm  0.0000  0.0000  0.0000 [1 per cell]
Dy  0.0000  0.0000  0.3707 [1 per cell]
Al  0.3333  0.6667  0.2073 [1 per cell]
Al  0.6667  0.3333  0.1693 [1 per cell]
Br  0.3333  0.6667  0.8433 [1 per cell]
Br  0.6667  0.3333  0.5216 [1 per cell]